Record 1
The following is a theoretical X-ray diffraction stick pattern of YGa3Rh. It was derived from a cell relaxed with GGA-PBE, using Cu Ka.
Intensities are scaled so that the largest is 100.

Cell and atoms:
Cell: 10.7388 6.1818 5.6566 Å, 90.00 90.00 90.00°
Space group C2/m (No. 12)
Symmetry-distinct sites (fractional):
Y: 0.1655 0.0000 0.2523 [4 per cell]
Ga: 0.0970 0.2116 0.7507 [8 per cell]
Ga: 0.1923 0.5000 0.2493 [4 per cell]
Rh: 0.0000 0.5000 0.0000 [2 per cell]
Rh: 0.0000 0.5000 0.5000 [2 per cell]

Top 10 peaks for 2θ = 10–90°, by angle:
(hkl)  two_theta  d_spacing  intensity
2 0 0  16.53  5.362  20
3 1 0  28.84  3.095  32
0 0 2  31.63  2.828  18
2 0 2  35.90  2.502  42
2 2 -1  37.11  2.422  100
5 1 0  44.69  2.028  18
4 0 -2  46.68  1.946  53
6 2 0  59.70  1.549  16
2 2 -3  59.98  1.542  24
8 2 2  86.16  1.129  10

Record 2
The following is a theoretical X-ray diffraction stick pattern of CsLiPb. It was derived from a cell relaxed with GGA-PBE, using Cu Ka.
Intensities are scaled so that the largest is 100.

Cell and atoms:
Cell: 5.5813 4.9104 8.4927 Å, 90.00 97.76 90.00°
Space group P2_1/m (No. 11)
Symmetry-distinct sites (fractional):
Cs: 0.2229 0.2500 0.3499 [2 per cell]
Li: 0.1406 0.7500 0.0283 [2 per cell]
Pb: 0.3621 0.2500 0.8867 [2 per cell]

Top 10 peaks for 2θ = 10–90°, by angle:
(hkl)  two_theta  d_spacing  intensity
0 0 1  10.51  8.415  27
1 1 0  24.24  3.672  100
1 0 -2  24.80  3.590  53
1 1 1  27.36  3.260  19
0 1 2  27.93  3.195  97
1 0 2  28.33  3.150  27
0 2 0  36.60  2.455  26
2 1 1  40.13  2.247  27
1 2 -2  44.72  2.027  22
1 1 -4  47.87  1.900  19

Record 3
The following is a theoretical X-ray diffraction stick pattern of Ba2PrCu2Se4. It was derived from a cell relaxed with GGA-PBE, using Cu Ka.
Intensities are scaled so that the largest is 100.

Cell and atoms:
Cell: 15.7093 4.1987 7.7245 Å, 90.00 110.45 90.00°
Space group C2/m (No. 12)
Symmetry-distinct sites (fractional):
Ba: 0.1348 0.0000 0.0719 [4 per cell]
Pr: 0.0000 0.0000 0.5000 [2 per cell]
Cu: 0.1826 0.5000 0.4924 [4 per cell]
Se: 0.0269 0.5000 0.2475 [4 per cell]
Se: 0.2041 0.0000 0.6893 [4 per cell]

Top 10 peaks for 2θ = 10–90°, by angle:
(hkl)  two_theta  d_spacing  intensity
3 1 -1  27.90  3.198  86
4 0 1  30.87  2.897  51
1 1 -2  31.58  2.833  100
3 1 -2  32.94  2.719  42
3 1 1  33.16  2.701  66
5 1 -1  35.74  2.513  38
6 0 0  36.67  2.451  34
0 2 0  43.09  2.099  45
3 1 3  52.50  1.743  25
4 2 1  53.94  1.700  26

Record 4
The following is a theoretical X-ray diffraction stick pattern of NaLa3Ir. It was derived from a cell relaxed with GGA-PBE, using Cu Ka.
Intensities are scaled so that the largest is 100.

Cell and atoms:
Cell: 4.1548 5.7197 7.9195 Å, 90.00 90.34 90.00°
Space group P2/m (No. 10)
Symmetry-distinct sites (fractional):
Na: 0.0000 0.0000 0.0000 [1 per cell]
La: 0.0000 0.0000 0.5000 [1 per cell]
La: 0.4967 0.5000 0.2539 [2 per cell]
Ir: 0.0000 0.5000 0.5000 [1 per cell]

Top 10 peaks for 2θ = 10–90°, by angle:
(hkl)  two_theta  d_spacing  intensity
0 0 1  11.17  7.919  100
0 1 0  15.49  5.720  47
1 0 1  24.25  3.670  17
1 1 0  26.52  3.361  18
0 1 2  27.39  3.256  17
1 0 -2  31.11  2.875  38
1 0 2  31.29  2.859  75
1 2 1  39.93  2.258  17
1 2 -2  44.70  2.028  28
1 2 2  44.84  2.022  28

Record 5
The following is a theoretical X-ray diffraction stick pattern of Rb3AsSe4. It was derived from a cell relaxed with GGA-PBE, using Cu Ka.
Intensities are scaled so that the largest is 100.

Cell and atoms:
Cell: 9.8215 11.4852 10.3988 Å, 90.00 90.00 90.00°
Space group Pnma (No. 62)
Symmetry-distinct sites (fractional):
Rb: 0.0614 0.0444 0.1938 [8 per cell]
Rb: 0.1496 0.7500 0.4198 [4 per cell]
As: 0.2339 0.7500 0.9760 [4 per cell]
Se: 0.0242 0.7500 0.0898 [4 per cell]
Se: 0.1427 0.0786 0.5268 [8 per cell]
Se: 0.1870 0.7500 0.7540 [4 per cell]

Top 10 peaks for 2θ = 10–90°, by angle:
(hkl)  two_theta  d_spacing  intensity
1 1 1  14.61  6.064  38
1 2 2  24.81  3.589  37
0 1 3  26.87  3.318  51
1 0 3  27.28  3.269  37
3 0 1  28.59  3.123  44
2 3 0  29.59  3.019  100
2 3 1  30.84  2.900  34
2 2 3  35.34  2.540  41
0 6 0  47.49  1.915  38
5 3 1  53.14  1.724  30

Record 6
The following is a theoretical X-ray diffraction stick pattern of HoTm3Th2As6. It was derived from a cell relaxed with GGA-PBE, using Cu Ka.
Intensities are scaled so that the largest is 100.

Cell and atoms:
Cell: 18.0107 4.1474 8.2545 Å, 90.00 103.05 90.00°
Space group C2/m (No. 12)
Symmetry-distinct sites (fractional):
Ho: 0.0000 0.0000 0.0000 [2 per cell]
Tm: 0.0000 0.0000 0.5000 [2 per cell]
Tm: 0.1663 0.5000 0.8340 [4 per cell]
Th: 0.1648 0.5000 0.3300 [4 per cell]
As: 0.0030 0.5000 0.7499 [4 per cell]
As: 0.1643 0.0000 0.5897 [4 per cell]
As: 0.1669 0.0000 0.0747 [4 per cell]

Top 10 peaks for 2θ = 10–90°, by angle:
(hkl)  two_theta  d_spacing  intensity
3 1 0  26.36  3.381  24
6 0 0  30.56  2.925  100
0 2 0  43.69  2.072  38
7 1 -2  43.84  2.065  37
4 2 -2  51.78  1.766  9
6 2 0  54.26  1.691  20
2 2 -4  63.62  1.463  12
1 3 -2  72.09  1.310  11
8 2 -4  72.33  1.306  17
12 2 0  80.39  1.194  11